1.
Calculated powder diffractogram of Co5Se4Br2O12 for a wavelength of 1.5418 Å, from a crystal structure in the Materials Project, relaxed with GGA+U.
Peak positions follow from Bragg's law for the DFT cell and can differ from measured ones.

Peak list (10 most intense, 2θ from 10° to 80°, in order of rising 2θ)
2θ 23.42, d 3.798, rel. 41; 2θ 23.68, d 3.758, rel. 40; 2θ 24.69, d 3.605, rel. 39; 2θ 28.09, d 3.177, rel. 59; 2θ 28.36, d 3.147, rel. 37; 2θ 31.86, d 2.809, rel. 100; 2θ 33.36, d 2.686, rel. 52; 2θ 34.12, d 2.628, rel. 46; 2θ 36.35, d 2.472, rel. 58; 2θ 38.80, d 2.321, rel. 47

Structure:
```
data_Co5Se4Br2O12
_chemical_formula_sum 'Co10 Se8 Br4 O24'
_cell_length_a 7.9710
_cell_length_b 9.4678
_cell_length_c 10.2188
_cell_angle_alpha 95.02
_cell_angle_beta 106.79
_cell_angle_gamma 98.07
_symmetry_space_group_name_H-M 'P 1'
_symmetry_Int_Tables_number 1
_symmetry_space_group_name_Hall 'P 1'
loop_
_atom_site_label
_atom_site_fract_x
_atom_site_fract_y
_atom_site_fract_z
Co1 0.0000 0.0000 0.0000
Co2 0.1642 0.2891 0.5930
Co3 0.2478 0.7757 0.9002
Co4 0.2521 0.7239 0.5995
Co5 0.3356 0.2108 0.9067
Co6 0.5000 0.5000 0.5000
Co7 0.6644 0.7892 0.0933
Co8 0.7479 0.2761 0.4005
Co9 0.7522 0.2243 0.0998
Co10 0.8358 0.7109 0.4070
Se1 0.0068 0.0210 0.3265
Se2 0.0905 0.4801 0.3150
Se3 0.4101 0.0201 0.1852
Se4 0.4933 0.4790 0.1733
Se5 0.5067 0.5210 0.8267
Se6 0.5899 0.9799 0.8148
Se7 0.9095 0.5199 0.6850
Se8 0.9932 0.9790 0.6735
Br1 0.0455 0.7355 0.0678
Br2 0.4550 0.7647 0.4323
Br3 0.5450 0.2353 0.5677
Br4 0.9545 0.2645 0.9322
O1 0.0461 0.8581 0.5606
O2 0.0496 0.9079 0.8290
O3 0.0570 0.6201 0.4218
O4 0.1153 0.6289 0.7279
O5 0.1717 0.1217 0.7105
O6 0.2306 0.3990 0.4410
O7 0.2700 0.1014 0.0595
O8 0.3281 0.3783 0.7894
O9 0.3838 0.8706 0.7715
O10 0.4435 0.8803 0.0784
O11 0.4509 0.5920 0.6714
O12 0.4535 0.6420 0.9396
O13 0.5465 0.3580 0.0604
O14 0.5491 0.4080 0.3286
O15 0.5565 0.1197 0.9216
O16 0.6162 0.1294 0.2285
O17 0.6719 0.6217 0.2106
O18 0.7300 0.8986 0.9405
O19 0.7694 0.6010 0.5590
O20 0.8283 0.8783 0.2895
O21 0.8847 0.3711 0.2721
O22 0.9430 0.3799 0.5782
O23 0.9504 0.0921 0.1710
O24 0.9539 0.1419 0.4394
```

***

2.
Calculated powder diffractogram of K3MgVO4 for a wavelength of 1.5418 Å, from a crystal structure in the Materials Project, relaxed with GGA+U.
Peak positions follow from Bragg's law for the DFT cell and can differ from measured ones.

Peak list (10 most intense, 2θ from 10° to 80°, in order of rising 2θ)
2θ 16.30, d 5.437, rel. 24; 2θ 16.70, d 5.308, rel. 16; 2θ 27.23, d 3.275, rel. 100; 2θ 28.67, d 3.114, rel. 15; 2θ 29.38, d 3.040, rel. 36; 2θ 44.15, d 2.051, rel. 32; 2θ 44.72, d 2.027, rel. 19; 2θ 46.74, d 1.944, rel. 18; 2θ 50.79, d 1.797, rel. 13; 2θ 54.44, d 1.685, rel. 13

Structure:
```
data_K3MgVO4
_chemical_formula_sum 'K3 Mg1 V1 O4'
_cell_length_a 6.8218
_cell_length_b 6.8218
_cell_length_c 6.8218
_cell_angle_alpha 131.91
_cell_angle_beta 127.06
_cell_angle_gamma 74.30
_symmetry_space_group_name_H-M 'P 1'
_symmetry_Int_Tables_number 1
_symmetry_space_group_name_Hall 'P 1'
loop_
_atom_site_label
_atom_site_fract_x
_atom_site_fract_y
_atom_site_fract_z
K1 0.0000 0.0000 0.0000
K2 0.2090 0.7090 0.5000
K3 0.7910 0.2910 0.5000
Mg1 0.5000 0.0000 0.5000
V1 0.5000 0.5000 0.0000
O1 0.2457 0.6583 0.0834
O2 0.4252 0.3417 0.5874
O3 0.5748 0.1622 0.9166
O4 0.7543 0.8378 0.4126
```

***

3.
Calculated powder diffractogram of VF5 for a wavelength of 1.5418 Å, from a crystal structure in the Materials Project, relaxed with GGA+U.
Peak positions follow from Bragg's law for the DFT cell and can differ from measured ones.

Peak list (10 most intense, 2θ from 10° to 80°, in order of rising 2θ)
2θ 17.43, d 5.088, rel. 75; 2θ 19.38, d 4.579, rel. 100; 2θ 23.29, d 3.820, rel. 60; 2θ 27.80, d 3.210, rel. 20; 2θ 29.15, d 3.063, rel. 10; 2θ 31.63, d 2.829, rel. 14; 2θ 32.98, d 2.716, rel. 10; 2θ 37.12, d 2.422, rel. 10; 2θ 49.77, d 1.832, rel. 18; 2θ 50.54, d 1.806, rel. 15

Structure:
```
data_VF5
_chemical_formula_sum 'V4 F20'
_cell_length_a 8.2430
_cell_length_b 10.1766
_cell_length_c 5.1276
_cell_angle_alpha 90.00
_cell_angle_beta 90.00
_cell_angle_gamma 90.00
_symmetry_space_group_name_H-M 'P 1'
_symmetry_Int_Tables_number 1
_symmetry_space_group_name_Hall 'P 1'
loop_
_atom_site_label
_atom_site_fract_x
_atom_site_fract_y
_atom_site_fract_z
V1 0.0829 0.2500 0.2148
V2 0.4171 0.7500 0.7148
V3 0.5829 0.2500 0.2852
V4 0.9171 0.7500 0.7852
F1 0.0731 0.1305 0.4639
F2 0.0731 0.3695 0.4639
F3 0.1158 0.7500 0.9071
F4 0.1824 0.1304 0.0215
F5 0.1824 0.3696 0.0215
F6 0.3176 0.6304 0.5215
F7 0.3176 0.8696 0.5215
F8 0.3842 0.2500 0.4071
F9 0.4269 0.6305 0.9639
F10 0.4269 0.8695 0.9639
F11 0.5731 0.1305 0.0361
F12 0.5731 0.3695 0.0361
F13 0.6158 0.7500 0.5929
F14 0.6824 0.1304 0.4785
F15 0.6824 0.3696 0.4785
F16 0.8176 0.6304 0.9785
F17 0.8176 0.8696 0.9785
F18 0.8842 0.2500 0.0929
F19 0.9269 0.6305 0.5361
F20 0.9269 0.8695 0.5361
```